[1]
Starting from a crystal structure in the Materials Project, relaxed with PBE, the X-ray diffraction stick pattern of Na2LaTiP3O12 was computed for a wavelength of 1.5418 Å.
Lines closer than 0.1° are merged.

Structural model:
Cell lengths 16.1193, 9.2650, 9.3964 Å; angles 90.00, 125.04, 90.00 degrees
Space group Cc (No. 9)
Symmetry-distinct sites (fractional):
1 Na 0.0000 0.1106 0.0000
2 Na 0.2466 0.2486 0.2329
3 La 0.3952 0.2403 0.6942
4 Ti 0.1118 0.2642 0.7973
5 P 0.0190 0.4486 0.0067
6 P 0.1424 0.0864 0.4963
7 P 0.3552 0.3821 0.0105
8 O 0.0499 0.1410 0.3259
9 O 0.0753 0.4351 0.6657
10 O 0.0988 0.3648 0.9963
11 O 0.1339 0.1433 0.6530
12 O 0.1430 0.0816 0.0008
13 O 0.2356 0.1449 0.5124
14 O 0.2557 0.3051 0.9748
15 O 0.3475 0.4547 0.5286
16 O 0.3541 0.3665 0.8485
17 O 0.4461 0.0319 0.8430
18 O 0.4540 0.3139 0.1727
19 O 0.4567 0.1603 0.5315

Principal peaks in the range 2θ from 5° to 70°, most intense first:
index  2theta  I/Imax
3 1 -3  30.17  100
1 1 1  18.94  69
0 2 0  19.12  63
0 2 1  22.37  58
2 0 0  13.42  50
4 0 0  27.03  35
3 3 -1  33.47  30
6 0 -2  33.35  29
0 4 2  45.70  22
3 5 -1  52.18  17

---

[2]
Starting from a crystal structure in the Materials Project, relaxed with PBE, the X-ray diffraction stick pattern of Na2La2PtO6 was computed for a wavelength of 1.5418 Å.
Lines closer than 0.1° are merged.

Structural model:
Cell lengths 9.5458, 9.4665, 6.7536 Å; angles 90.00, 91.31, 90.00 degrees
Space group C2 (No. 5)
Symmetry-distinct sites (fractional):
1 Na 0.0000 0.0000 0.0000
2 Na 0.0000 0.4896 0.5000
3 Na 0.1772 0.1723 0.6386
4 La 0.0000 0.6348 0.0000
5 La 0.0000 0.8655 0.5000
6 La 0.1760 0.3076 0.1512
7 Pt 0.2470 0.4899 0.7462
8 O 0.0605 0.3888 0.8129
9 O 0.0712 0.0960 0.3064
10 O 0.1252 0.6683 0.6831
11 O 0.1299 0.8205 0.1717
12 O 0.2421 0.4245 0.4519
13 O 0.2469 0.0573 0.9662

Principal peaks in the range 2θ from 5° to 70°, most intense first:
index  2theta  I/Imax
1 1 1  18.77  100
1 3 -1  32.61  77
2 2 1  29.85  52
2 0 -2  32.13  41
2 4 0  42.62  26
3 1 0  29.63  24
1 1 -1  18.48  21
5 1 1  50.93  20
2 2 2  38.08  17
2 0 2  32.82  16

---

[3]
Starting from a crystal structure in the Materials Project, relaxed with PBE, the X-ray diffraction stick pattern of NaLaRu2O6 was computed for a wavelength of 1.5418 Å.
Lines closer than 0.1° are merged.

Structural model:
Cell lengths 7.8846, 7.8846, 7.8846 Å; angles 90.00, 90.00, 90.00 degrees
Space group Fm-3m (No. 225)
Symmetry-distinct sites (fractional):
1 Na 0.0000 0.0000 0.0000
2 La 0.0000 0.0000 0.5000
3 Ru 0.2500 0.2500 0.2500
4 O 0.0000 0.2500 0.2500

Principal peaks in the range 2θ from 5° to 70°, most intense first:
index  2theta  I/Imax
2 2 0  32.11  100
4 2 2  57.24  39
4 0 0  46.05  34
1 1 1  19.50  26
4 4 0  67.16  20
3 1 1  37.84  14
2 0 0  22.55  8
3 3 1  50.45  6
5 1 1  61.07  5
4 2 0  51.86  2